Starting from a PBE-relaxed structure, the X-ray powder pattern of Li4LaCd12 was simulated for Cu Kα (weighted mean of Kα1 and Kα2).
Neutral-atom scattering factors, no anomalous dispersion.

```
data_Li4LaCd12
_chemical_formula_sum 'Li8 La2 Cd24'
_cell_length_a 9.414
_cell_length_b 9.414
_cell_length_c 9.414
_cell_angle_alpha 90.00
_cell_angle_beta 90.00
_cell_angle_gamma 90.00
_symmetry_space_group_name_H-M 'I m -3'
_symmetry_Int_Tables_number 204
_symmetry_space_group_name_Hall '-I 2 2 3'
loop_
_atom_site_label
_atom_site_type_symbol
_atom_site_fract_x
_atom_site_fract_y
_atom_site_fract_z
_atom_site_occupancy
Li1 Li 0.250 0.250 0.250 1
La1 La 0.000 0.000 0.000 1
Cd1 Cd 0.000 0.345 0.158 1
```

The 8 most intense peaks (2θ from 10° to 80°), low angle first:
2θ 30.02, d 2.977, rel. 1000, hkl 3 0 1; 2θ 35.68, d 2.516, rel. 425, hkl 3 1 2; 2θ 47.30, d 1.922, rel. 96, hkl 4 2 2; 2θ 49.36, d 1.846, rel. 308, hkl 4 3 1; 2θ 57.04, d 1.615, rel. 97, hkl 5 3 0; 2θ 58.86, d 1.569, rel. 185, hkl 6 0 0; 2θ 67.48, d 1.388, rel. 163, hkl 6 1 3; 2θ 77.17, d 1.236, rel. 91, hkl 7 3 0


Starting from a PBE-relaxed structure, the X-ray powder pattern of Ac2BeGa was simulated for Cu Kα (weighted mean of Kα1 and Kα2).
Neutral-atom scattering factors, no anomalous dispersion.

```
data_Ac2BeGa
_chemical_formula_sum 'Ac8 Be4 Ga4'
_cell_length_a 7.698
_cell_length_b 7.698
_cell_length_c 7.698
_cell_angle_alpha 90.00
_cell_angle_beta 90.00
_cell_angle_gamma 90.00
_symmetry_space_group_name_H-M 'F m -3 m'
_symmetry_Int_Tables_number 225
_symmetry_space_group_name_Hall '-F 4 2 3'
loop_
_atom_site_label
_atom_site_type_symbol
_atom_site_fract_x
_atom_site_fract_y
_atom_site_fract_z
_atom_site_occupancy
Ac1 Ac 0.250 0.250 0.250 1
Be1 Be 0.000 0.000 0.000 1
Ga1 Ga 0.000 0.000 0.500 1
```

The 8 most intense peaks (2θ from 10° to 80°), low angle first:
2θ 23.11, d 3.849, rel. 572, hkl 2 0 0; 2θ 32.91, d 2.722, rel. 1000, hkl 2 2 0; 2θ 40.60, d 2.222, rel. 184, hkl 2 2 2; 2θ 47.23, d 1.924, rel. 185, hkl 4 0 0; 2θ 53.22, d 1.721, rel. 259, hkl 4 2 0; 2θ 58.77, d 1.571, rel. 390, hkl 4 2 2; 2θ 73.87, d 1.283, rel. 126, hkl 6 0 0; 2θ 78.60, d 1.217, rel. 170, hkl 6 2 0